Simulated XRD peak list
Compound: Li7Mn5O12
Radiation: copper Kα
Structure: a cell relaxed with PBE+U
No peak broadening, texture or thermal motion is included.

Structure:
```
data_Li7Mn5O12
_cell_length_a 5.252
_cell_length_b 6.028
_cell_length_c 7.668
_cell_angle_alpha 98.56
_cell_angle_beta 97.31
_cell_angle_gamma 110.16
_space_group_name_H-M_alt 'P -1'
_space_group_IT_number 2
_space_group_name_Hall '-P 1'
loop_
_atom_site_label
_atom_site_type_symbol
_atom_site_fract_x
_atom_site_fract_y
_atom_site_fract_z
_atom_site_occupancy
Li1 Li 0.000 0.000 0.000 1
Li2 Li 0.489 0.933 0.165 1
Li3 Li 0.491 0.405 0.156 1
Li4 Li 0.498 0.751 0.503 1
Mn1 Mn 0.000 0.500 0.000 1
Mn2 Mn 0.002 0.324 0.327 1
Mn3 Mn 0.002 0.832 0.330 1
O1 O 0.209 0.309 0.911 1
O2 O 0.216 0.449 0.575 1
O3 O 0.229 0.119 0.261 1
O4 O 0.234 0.773 0.912 1
O5 O 0.235 0.939 0.580 1
O6 O 0.236 0.596 0.236 1
```

Top 10 peaks for 2θ = 5–70°, sorted by position:
2θ/deg, d/Å, I_rel, (hkl)
18.3, 4.838, 100, 1 0 0
34.2, 2.623, 16, -1 2 1
36.2, 2.480, 24, 0 0 3
41.1, 2.196, 35, -2 2 1
44.1, 2.053, 28, 1 0 3
44.3, 2.044, 28, 1 2 -2
61.7, 1.503, 8, 1 -4 1
61.9, 1.499, 17, -1 2 4
62.4, 1.489, 9, 3 0 -3
63.9, 1.456, 10, 2 2 1